This entry pairs a crystal structure of Hf12In3Pd with its computed XRD peak list. Radiation: Cu Ka. Structure: a structure optimized by DFT (GGA-PBE).
Intensities are scaled so that the largest is 100.

Unit cell a=5.3935 b=5.3935 c=12.4437 alpha=90.00 beta=90.00 gamma=106.89
Fractional positions:
Hf: 0.0000 0.0000 0.0000
Hf: 0.0000 0.0000 0.2484
Hf: 0.0000 0.0000 0.5000
Hf: 0.0000 0.0000 0.7516
Hf: 0.0000 0.5000 0.1219
Hf: 0.0000 0.5000 0.3733
Hf: 0.0000 0.5000 0.6267
Hf: 0.0000 0.5000 0.8781
Hf: 0.5000 0.0000 0.1219
Hf: 0.5000 0.0000 0.3733
Hf: 0.5000 0.0000 0.6267
Hf: 0.5000 0.0000 0.8781
In: 0.5000 0.5000 0.2412
In: 0.5000 0.5000 0.5000
In: 0.5000 0.5000 0.7588
Pd: 0.5000 0.5000 0.0000

The 10 most intense peaks (2θ from 5° to 70°), most intense first:
34.77°, 2.580 Å, I = 100
35.53°, 2.527 Å, I = 94
40.36°, 2.235 Å, I = 66
59.42°, 1.555 Å, I = 53
41.69°, 2.166 Å, I = 30
69.32°, 1.356 Å, I = 27
57.37°, 1.606 Å, I = 12
17.18°, 5.161 Å, I = 5
33.64°, 2.664 Å, I = 2
20.50°, 4.333 Å, I = 2